Ba2PmPa3N8: calculated powder diffraction line list (Cu Ka), based on a crystal structure in Alexandria, relaxed with GGA-PBE.

Cell and atoms:
Unit cell a=7.4561 b=7.4561 c=7.4561 alpha=57.59 beta=57.59 gamma=57.59
Fractional positions:
Ba: 0.0000 0.0000 0.0000
Ba: 0.3773 0.3773 0.3773
Pm: 0.7700 0.7700 0.7700
Pa: 0.3756 0.3756 0.8802
Pa: 0.3756 0.8802 0.3756
Pa: 0.8802 0.3756 0.3756
N: 0.1243 0.1243 0.5571
N: 0.1243 0.5571 0.1243
N: 0.1517 0.1517 0.1517
N: 0.1679 0.6395 0.6395
N: 0.5571 0.1243 0.1243
N: 0.6076 0.6076 0.6076
N: 0.6395 0.1679 0.6395
N: 0.6395 0.6395 0.1679

The 6 most intense peaks (2θ from 10° to 90°), low angle first:
Position (°2θ)  I (rel.)
14.29  50.4
27.96  58.0
28.75  100.0
29.11  80.1
30.30  72.5
50.85  43.7

---

RbBaPaN3: calculated powder diffraction line list (Cu Ka), based on a crystal structure in Alexandria, relaxed with GGA-PBE.

Cell and atoms:
Unit cell a=7.4186 b=7.4186 c=6.2917 alpha=96.44 beta=96.44 gamma=124.80
Fractional positions:
Rb: 0.0716 0.9284 0.7500
Rb: 0.9284 0.0716 0.2500
Ba: 0.2718 0.7282 0.2500
Ba: 0.7282 0.2718 0.7500
Pa: 0.4401 0.5599 0.7500
Pa: 0.5599 0.4401 0.2500
N: 0.2821 0.3943 0.0392
N: 0.2837 0.7163 0.7500
N: 0.3943 0.2821 0.5392
N: 0.6057 0.7179 0.4608
N: 0.7163 0.2837 0.2500
N: 0.7179 0.6057 0.9608

The 6 most intense peaks (2θ from 10° to 90°), low angle first:
Position (°2θ)  I (rel.)
14.89  44.9
26.69  100.0
29.26  31.2
30.07  54.9
34.71  24.5
44.91  16.8

---

BaPa2ReN5: calculated powder diffraction line list (Cu Ka), based on a crystal structure in Alexandria, relaxed with GGA-PBE.

Cell and atoms:
Unit cell a=7.5584 b=7.5584 c=7.5584 alpha=126.73 beta=126.73 gamma=78.69
Fractional positions:
Ba: 0.2500 0.2500 0.0000
Ba: 0.7500 0.7500 0.0000
Pa: 0.1852 0.6852 0.8705
Pa: 0.3148 0.1852 0.5000
Pa: 0.6852 0.8148 0.5000
Pa: 0.8148 0.3148 0.1295
Re: 0.2500 0.7500 0.5000
Re: 0.7500 0.2500 0.5000
N: 0.0000 0.0000 0.0000
N: 0.0102 0.2319 0.5000
N: 0.2319 0.7319 0.2217
N: 0.2681 0.4898 0.5000
N: 0.4898 0.9898 0.2217
N: 0.5000 0.5000 0.0000
N: 0.5102 0.0102 0.7783
N: 0.7319 0.5102 0.5000
N: 0.7681 0.2681 0.7783
N: 0.9898 0.7681 0.5000

The 6 most intense peaks (2θ from 10° to 90°), low angle first:
Position (°2θ)  I (rel.)
30.49  100.0
30.59  25.0
37.57  40.7
49.16  16.7
54.31  14.7
56.55  15.2

---

Ba3Pa2S2N4: calculated powder diffraction line list (Cu Ka), based on a crystal structure in Alexandria, relaxed with GGA-PBE.

Cell and atoms:
Unit cell a=12.9371 b=12.9371 c=12.9371 alpha=160.18 beta=160.18 gamma=28.17
Fractional positions:
Ba: 0.0000 0.0000 0.0000
Ba: 0.1736 0.1736 0.0000
Ba: 0.8264 0.8264 0.0000
Pa: 0.4113 0.4113 0.0000
Pa: 0.5887 0.5887 0.0000
S: 0.3033 0.3033 0.0000
S: 0.6967 0.6967 0.0000
N: 0.0778 0.5778 0.5000
N: 0.4222 0.9222 0.5000
N: 0.5778 0.0778 0.5000
N: 0.9222 0.4222 0.5000

The 6 most intense peaks (2θ from 10° to 90°), low angle first:
Position (°2θ)  I (rel.)
26.76  100.0
28.34  72.3
32.05  45.7
40.52  38.3
49.22  39.3
52.55  40.0

---

BaPa4Si3N12: calculated powder diffraction line list (Cu Ka), based on a crystal structure in Alexandria, relaxed with GGA-PBE.

Cell and atoms:
Unit cell a=7.0550 b=7.0550 c=7.0550 alpha=109.47 beta=109.47 gamma=109.47
Fractional positions:
Ba: 0.0000 0.0000 0.0000
Pa: 0.0000 0.0000 0.5000
Pa: 0.0000 0.5000 0.0000
Pa: 0.5000 0.0000 0.0000
Pa: 0.5000 0.5000 0.5000
Si: 0.0000 0.5000 0.5000
Si: 0.5000 0.0000 0.5000
Si: 0.5000 0.5000 0.0000
N: 0.1527 0.3362 0.4889
N: 0.1527 0.6638 0.8165
N: 0.1835 0.8473 0.3362
N: 0.3362 0.1835 0.8473
N: 0.3362 0.4889 0.1527
N: 0.4889 0.1527 0.3362
N: 0.5111 0.8473 0.6638
N: 0.6638 0.5111 0.8473
N: 0.6638 0.8165 0.1527
N: 0.8165 0.1527 0.6638
N: 0.8473 0.3362 0.1835
N: 0.8473 0.6638 0.5111

The 6 most intense peaks (2θ from 10° to 90°), low angle first:
Position (°2θ)  I (rel.)
21.82  44.5
31.05  100.0
44.49  19.6
50.07  24.5
55.24  45.4
73.53  19.0

---

Ba4Pa3TcN8: calculated powder diffraction line list (Cu Ka), based on a crystal structure in Alexandria, relaxed with GGA-PBE.

Cell and atoms:
Unit cell a=7.5787 b=7.5787 c=7.5787 alpha=56.05 beta=56.05 gamma=56.05
Fractional positions:
Ba: 0.0000 0.0000 0.0000
Ba: 0.0000 0.5000 0.5000
Ba: 0.5000 0.0000 0.5000
Ba: 0.5000 0.5000 0.0000
Pa: 0.0000 0.0000 0.5000
Pa: 0.0000 0.5000 0.0000
Pa: 0.5000 0.0000 0.0000
Tc: 0.5000 0.5000 0.5000
N: 0.2227 0.7259 0.7260
N: 0.2247 0.2247 0.2247
N: 0.2740 0.2741 0.7773
N: 0.2740 0.7773 0.2740
N: 0.7260 0.2227 0.7260
N: 0.7260 0.7260 0.2227
N: 0.7753 0.7753 0.7753
N: 0.7773 0.2741 0.2741

The 6 most intense peaks (2θ from 10° to 90°), low angle first:
Position (°2θ)  I (rel.)
28.03  44.1
30.46  100.0
34.63  96.8
48.21  35.0
51.31  32.0
59.48  33.5

---

Ba2UPaN4: calculated powder diffraction line list (Cu Ka), based on a crystal structure in Alexandria, relaxed with GGA-PBE.

Cell and atoms:
Unit cell a=6.2600 b=3.6237 c=6.7525 alpha=90.00 beta=108.00 gamma=90.00
Fractional positions:
Ba: 0.0000 0.0000 0.0000
Ba: 0.5000 0.5000 0.0000
U: 0.0000 0.5000 0.5000
Pa: 0.5000 0.0000 0.5000
N: 0.2145 0.0000 0.6618
N: 0.2719 0.5000 0.3390
N: 0.7281 0.5000 0.6610
N: 0.7855 0.0000 0.3382

The 6 most intense peaks (2θ from 10° to 90°), low angle first:
Position (°2θ)  I (rel.)
13.79  21.7
27.78  43.9
29.98  100.0
34.13  93.0
47.62  33.4
58.55  34.2

---

BaPa2ZnN5: calculated powder diffraction line list (Cu Ka), based on a crystal structure in Alexandria, relaxed with GGA-PBE.

Cell and atoms:
Unit cell a=7.5505 b=7.5505 c=7.5505 alpha=127.30 beta=127.30 gamma=77.75
Fractional positions:
Ba: 0.2500 0.2500 0.0000
Ba: 0.7500 0.7500 0.0000
Pa: 0.1756 0.6756 0.8511
Pa: 0.3244 0.1756 0.5000
Pa: 0.6756 0.8244 0.5000
Pa: 0.8244 0.3244 0.1489
Zn: 0.2500 0.7500 0.5000
Zn: 0.7500 0.2500 0.5000
N: 0.0000 0.0000 0.0000
N: 0.0259 0.2326 0.5000
N: 0.2326 0.7326 0.2067
N: 0.2674 0.4741 0.5000
N: 0.4741 0.9741 0.2067
N: 0.5000 0.5000 0.0000
N: 0.5259 0.0259 0.7933
N: 0.7326 0.5259 0.5000
N: 0.7674 0.2674 0.7933
N: 0.9741 0.7674 0.5000

The 6 most intense peaks (2θ from 10° to 90°), low angle first:
Position (°2θ)  I (rel.)
15.07  24.3
30.41  25.3
30.74  100.0
37.79  37.5
49.26  18.1
57.20  18.0